Record 1
Diffraction record for Li3V3Fe2O10. The PXRD pattern is calculated, not measured: it uses DFT lattice parameters and positions (PBE+U) and Cu Kα X-rays.
Kinematic intensities with the Lorentz-polarization factor, no thermal factor.

Structure:
abc: 5.145 5.213 7.972
angles: 73.32 72.61 77.87
Atoms (fractional coordinates):
Li (0.000, 0.000, 0.000)
Li (0.325, 0.528, 0.893)
Li (0.675, 0.472, 0.107)
V (0.187, 0.016, 0.609)
V (0.500, 0.500, 0.500)
V (0.813, 0.984, 0.391)
Fe (0.396, 0.995, 0.188)
Fe (0.604, 0.005, 0.812)
O (0.005, 0.180, 0.186)
O (0.169, 0.788, 0.448)
O (0.289, 0.261, 0.721)
O (0.390, 0.777, 0.024)
O (0.452, 0.216, 0.371)
O (0.548, 0.784, 0.629)
O (0.610, 0.223, 0.976)
O (0.711, 0.739, 0.279)
O (0.831, 0.212, 0.552)
O (0.995, 0.820, 0.814)

Main lines, by angle (15° ≤ 2θ ≤ 90°):
- 2θ 17.9, intensity 100, hkl 0 1 0
- 2θ 18.2, intensity 36, hkl 1 0 0
- 2θ 22.3, intensity 22, hkl 1 1 1
- 2θ 26.4, intensity 31, hkl 0 1 2
- 2θ 35.8, intensity 13, hkl 2 0 1
- 2θ 36.4, intensity 15, hkl 0 2 0
- 2θ 40.3, intensity 48, hkl 1 1 -2
- 2θ 43.1, intensity 44, hkl 1 2 3
- 2θ 44.0, intensity 43, hkl 2 -1 1
- 2θ 62.9, intensity 14, hkl 3 1 4


Record 2
Diffraction record for Li5V3Fe2O10. The PXRD pattern is calculated, not measured: it uses DFT lattice parameters and positions (PBE+U) and Cu Kα X-rays.
Kinematic intensities with the Lorentz-polarization factor, no thermal factor.

Structure:
abc: 5.194 6.035 6.683
angles: 103.05 97.00 108.06
Atoms (fractional coordinates):
Li (0.000, 0.000, 0.000)
Li (0.206, 0.900, 0.392)
Li (0.407, 0.294, 0.798)
Li (0.593, 0.706, 0.202)
Li (0.794, 0.100, 0.608)
V (0.000, 0.500, 0.000)
V (0.185, 0.378, 0.393)
V (0.815, 0.622, 0.607)
Fe (0.408, 0.808, 0.804)
Fe (0.592, 0.192, 0.196)
O (0.071, 0.923, 0.683)
O (0.074, 0.450, 0.686)
O (0.279, 0.361, 0.116)
O (0.294, 0.832, 0.089)
O (0.497, 0.720, 0.508)
O (0.503, 0.280, 0.492)
O (0.706, 0.168, 0.911)
O (0.721, 0.639, 0.884)
O (0.926, 0.550, 0.314)
O (0.929, 0.077, 0.317)

Main lines, by angle (15° ≤ 2θ ≤ 90°):
- 2θ 16.1, intensity 35, hkl 0 1 0
- 2θ 18.1, intensity 100, hkl 0 1 -1
- 2θ 19.8, intensity 31, hkl 1 -1 0
- 2θ 23.8, intensity 22, hkl 1 -1 1
- 2θ 24.1, intensity 26, hkl 0 1 1
- 2θ 24.7, intensity 22, hkl -1 1 1
- 2θ 42.2, intensity 76, hkl 2 -2 1
- 2θ 42.8, intensity 73, hkl 1 0 -3
- 2θ 43.1, intensity 68, hkl 1 2 0
- 2θ 61.6, intensity 22, hkl -3 2 2